# PaPbIO6
Simulated powder diffractogram, CuKα. Input: a structure optimized by DFT (PBE).

Most intense lines, 2θ = 10–90°, in order of rising 2θ:
24.50 deg, I = 100, (1 0 2)
30.72 deg, I = 50, (1 1 0)
39.68 deg, I = 28, (2 0 2)
46.64 deg, I = 44, (1 1 4)
51.01 deg, I = 28, (2 1 2)
54.63 deg, I = 15, (3 0 0)
66.05 deg, I = 11, (3 0 4)
69.60 deg, I = 12, (4 -1 2)

Structure:
```
data_PaPbIO6
_chemical_formula_sum 'Pa2 Pb2 I2 O12'
_cell_length_a 5.8202
_cell_length_b 5.8202
_cell_length_c 10.4845
_cell_angle_alpha 90.00
_cell_angle_beta 90.00
_cell_angle_gamma 120.00
_space_group_name_H-M_alt 'P -3 1 c'
_space_group_IT_number 163
_space_group_name_Hall '-P 3 2c'
loop_
_atom_site_label
_atom_site_type_symbol
_atom_site_fract_x
_atom_site_fract_y
_atom_site_fract_z
Pa1 Pa 0.3333 0.6667 0.2500
Pb1 Pb 0.0000 0.0000 0.0000
I1 I 0.3333 0.6667 0.7500
O1 O 0.0099 0.3721 0.6436
```

=====

# CaAcAgTe3
Simulated powder diffractogram, CuKα. Input: a structure optimized by DFT (PBE).

Most intense lines, 2θ = 10–90°, in order of rising 2θ:
14.86 deg, I = 26, (1 0 1)
27.40 deg, I = 28, (1 1 -2)
27.53 deg, I = 24, (0 0 3)
28.19 deg, I = 100, (2 1 0)
33.82 deg, I = 22, (1 1 -3)
34.13 deg, I = 24, (0 1 3)
39.32 deg, I = 21, (4 0 -1)
40.18 deg, I = 27, (0 2 0)

Structure:
```
data_CaAcAgTe3
_chemical_formula_sum 'Ca2 Ac2 Ag2 Te6'
_cell_length_a 9.166
_cell_length_b 4.489
_cell_length_c 9.960
_cell_angle_alpha 90.00
_cell_angle_beta 102.63
_cell_angle_gamma 90.00
_space_group_name_H-M_alt 'P 1 21/m 1'
_space_group_IT_number 11
_space_group_name_Hall '-P 2yb'
loop_
_atom_site_label
_atom_site_type_symbol
_atom_site_fract_x
_atom_site_fract_y
_atom_site_fract_z
Ca1 Ca 0.166 0.250 0.163
Ac1 Ac 0.316 0.750 0.759
Ag1 Ag 0.420 0.750 0.420
Te1 Te 0.078 0.250 0.838
Te2 Te 0.252 0.250 0.493
Te3 Te 0.407 0.750 0.129
```

=====

# Se4Br2Cl5
Simulated powder diffractogram, CuKα. Input: a structure optimized by DFT (PBE).

Most intense lines, 2θ = 10–90°, in order of rising 2θ:
15.46 deg, I = 100, (0 2 0)
17.00 deg, I = 36, (1 1 1)
18.74 deg, I = 33, (0 2 1)
22.71 deg, I = 25, (2 0 1)
28.71 deg, I = 34, (3 1 -1)
31.22 deg, I = 18, (0 4 0)
35.78 deg, I = 19, (1 1 3)
39.63 deg, I = 19, (3 3 -2)

Structure:
```
data_Se4Br2Cl5
_chemical_formula_sum 'Se8 Br4 Cl10'
_cell_length_a 9.900
_cell_length_b 11.460
_cell_length_c 8.549
_cell_angle_alpha 90.00
_cell_angle_beta 100.44
_cell_angle_gamma 90.00
_space_group_name_H-M_alt 'C 1 m 1'
_space_group_IT_number 8
_space_group_name_Hall 'C -2y'
loop_
_atom_site_label
_atom_site_type_symbol
_atom_site_fract_x
_atom_site_fract_y
_atom_site_fract_z
Se1 Se 0.000 0.000 0.000
Se2 Se 0.029 0.500 0.337
Se3 Se 0.210 0.000 0.908
Se4 Se 0.271 0.500 0.385
Br1 Br 0.086 0.000 0.280
Br2 Br 0.162 0.500 0.070
Cl1 Cl 0.223 0.184 0.798
Cl2 Cl 0.309 0.500 0.658
Cl3 Cl 0.472 0.148 0.481
```

=====

# Dy14TmTl
Simulated powder diffractogram, CuKα. Input: a structure optimized by DFT (PBE).

Most intense lines, 2θ = 10–90°, in order of rising 2θ:
31.15 deg, I = 100, (2 0 2)
35.96 deg, I = 17, (0 0 4)
36.20 deg, I = 34, (2 2 0)
51.95 deg, I = 24, (2 2 4)
61.66 deg, I = 14, (2 0 6)
61.99 deg, I = 28, (4 2 2)
64.96 deg, I = 12, (4 0 4)
84.92 deg, I = 12, (4 2 6)

Structure:
```
data_Dy14TmTl
_chemical_formula_sum 'Dy14 Tm1 Tl1'
_cell_length_a 7.018
_cell_length_b 7.018
_cell_length_c 9.990
_cell_angle_alpha 90.00
_cell_angle_beta 90.00
_cell_angle_gamma 90.00
_space_group_name_H-M_alt 'P 4/m m m'
_space_group_IT_number 123
_space_group_name_Hall '-P 4 2'
loop_
_atom_site_label
_atom_site_type_symbol
_atom_site_fract_x
_atom_site_fract_y
_atom_site_fract_z
Dy1 Dy 0.000 0.000 0.000
Dy2 Dy 0.000 0.500 0.000
Dy3 Dy 0.000 0.500 0.500
Dy4 Dy 0.249 0.249 0.252
Dy5 Dy 0.500 0.500 0.000
Tm1 Tm 0.000 0.000 0.500
Tl1 Tl 0.500 0.500 0.500
```

=====

# Pm3Sm4
Simulated powder diffractogram, CuKα. Input: a structure optimized by DFT (PBE).

Most intense lines, 2θ = 10–90°, in order of rising 2θ:
30.10 deg, I = 100, (1 1 0)
34.89 deg, I = 51, (1 0 7)
50.18 deg, I = 36, (2 0 0)
59.63 deg, I = 43, (2 1 7)
62.57 deg, I = 12, (2 2 0)
73.69 deg, I = 6, (2 0 14)
81.60 deg, I = 18, (3 1 0)
84.20 deg, I = 16, (3 0 7)

Structure:
```
data_Pm3Sm4
_chemical_formula_sum 'Pm6 Sm8'
_cell_length_a 3.637
_cell_length_b 5.143
_cell_length_c 25.449
_cell_angle_alpha 90.00
_cell_angle_beta 90.00
_cell_angle_gamma 90.00
_space_group_name_H-M_alt 'I m m m'
_space_group_IT_number 71
_space_group_name_Hall '-I 2 2'
loop_
_atom_site_label
_atom_site_type_symbol
_atom_site_fract_x
_atom_site_fract_y
_atom_site_fract_z
Pm1 Pm 0.000 0.000 0.000
Pm2 Pm 0.000 0.000 0.143
Sm1 Sm 0.000 0.000 0.286
Sm2 Sm 0.000 0.000 0.429
```

=====

# AcPmPb4
Simulated powder diffractogram, CuKα. Input: a structure optimized by DFT (PBE).

Most intense lines, 2θ = 10–90°, in order of rising 2θ:
22.95 deg, I = 70, (0 1 2)
24.59 deg, I = 24, (1 0 4)
30.35 deg, I = 79, (0 1 8)
34.08 deg, I = 100, (1 0 10)
39.27 deg, I = 81, (1 1 0)
52.96 deg, I = 29, (0 2 10)
62.52 deg, I = 29, (1 1 18)
67.88 deg, I = 28, (2 1 10)

Structure:
```
data_AcPmPb4
_chemical_formula_sum 'Ac3 Pm3 Pb12'
_cell_length_a 4.5887
_cell_length_b 4.5887
_cell_length_c 35.0923
_cell_angle_alpha 90.00
_cell_angle_beta 90.00
_cell_angle_gamma 120.00
_space_group_name_H-M_alt 'R -3 m'
_space_group_IT_number 166
_space_group_name_Hall '-R 3 2"'
loop_
_atom_site_label
_atom_site_type_symbol
_atom_site_fract_x
_atom_site_fract_y
_atom_site_fract_z
Ac1 Ac 0.0000 0.0000 0.0000
Pm1 Pm 0.0000 0.0000 0.5000
Pb1 Pb 0.0000 0.0000 0.1109
Pb2 Pb 0.0000 0.0000 0.3983
```

=====

# Ca2Y2Au3
Simulated powder diffractogram, CuKα. Input: a structure optimized by DFT (PBE).

Most intense lines, 2θ = 10–90°, in order of rising 2θ:
20.46 deg, I = 45, (1 0 1)
21.37 deg, I = 17, (0 1 2)
24.69 deg, I = 32, (1 0 4)
35.13 deg, I = 90, (0 1 8)
35.27 deg, I = 100, (1 1 0)
48.44 deg, I = 28, (1 1 9)
50.63 deg, I = 32, (2 0 8)
63.25 deg, I = 50, (3 0 0)

Structure:
```
data_Ca2Y2Au3
_chemical_formula_sum 'Ca6 Y6 Au9'
_cell_length_a 5.0890
_cell_length_b 5.0890
_cell_length_c 25.0809
_cell_angle_alpha 90.00
_cell_angle_beta 90.00
_cell_angle_gamma 120.00
_space_group_name_H-M_alt 'R -3 m'
_space_group_IT_number 166
_space_group_name_Hall '-R 3 2"'
loop_
_atom_site_label
_atom_site_type_symbol
_atom_site_fract_x
_atom_site_fract_y
_atom_site_fract_z
Ca1 Ca 0.0000 0.0000 0.1261
Y1 Y 0.0000 0.0000 0.3767
Au1 Au 0.0000 0.0000 0.2600
Au2 Au 0.0000 0.0000 0.5000
```